# LaTb2Cu2
Computed PXRD pattern, Cu Kα (weighted mean of Kα1 and Kα2). Input: a structure optimized by DFT (PBE).
No peak broadening, texture or thermal motion is included.

Cell and atoms:
```
LaTb2Cu2
1.0
5.016 0.000 0.000
0.000 4.718 0.000
-1.240 0.000 10.821
La Tb Cu
2 4 4
Direct
0.193 0.250 0.244
0.807 0.750 0.756
0.249 0.750 0.494
0.345 0.250 0.886
0.655 0.750 0.114
0.751 0.250 0.506
0.125 0.750 0.004
0.282 0.250 0.633
0.718 0.750 0.367
0.875 0.250 0.996
```

The 8 most intense peaks (5 to 70 degrees two-theta), in order of rising 2θ:
Position (°2θ)	d [Å]	Rel. int.
27.93	3.195	57.8
29.75	3.003	100.0
31.21	2.865	61.7
32.00	2.797	32.1
32.25	2.776	28.7
36.05	2.491	52.3
38.15	2.359	56.5
53.49	1.713	34.8

---

# Na3ScMn2S6
Computed PXRD pattern, Cu Kα (weighted mean of Kα1 and Kα2). Input: a structure optimized by DFT (PBE).
No peak broadening, texture or thermal motion is included.

Cell and atoms:
```
Na3ScMn2S6
1.0
3.169 -5.488 0.000
3.169 5.488 0.000
-2.119 0.000 6.620
Na Sc Mn S
3 1 2 6
Direct
0.000 0.000 0.000
0.335 0.665 0.000
0.665 0.335 0.000
0.500 0.500 0.500
0.167 0.833 0.500
0.833 0.167 0.500
0.085 0.431 0.293
0.224 0.224 0.707
0.431 0.085 0.293
0.569 0.915 0.707
0.776 0.776 0.293
0.915 0.569 0.707
```

The 8 most intense peaks (5 to 70 degrees two-theta), in order of rising 2θ:
Position (°2θ)	d [Å]	Rel. int.
13.37	6.620	38.7
33.55	2.671	100.0
42.78	2.114	11.0
46.47	1.954	30.7
49.84	1.830	30.6
51.85	1.763	5.4
58.87	1.569	6.0
61.43	1.509	14.5

---

# AlPd5Pt8
Computed PXRD pattern, Cu Kα (weighted mean of Kα1 and Kα2). Input: a structure optimized by DFT (PBE).
No peak broadening, texture or thermal motion is included.

Cell and atoms:
```
AlPd5Pt8
1.0
-3.898 3.898 3.758
3.898 -3.898 3.758
3.898 3.898 -3.758
Al Pd Pt
1 5 8
Direct
0.000 0.000 0.000
0.296 0.220 0.699
0.403 0.704 0.923
0.521 0.597 0.301
0.750 0.250 0.500
0.780 0.479 0.077
0.030 0.749 0.607
0.053 0.348 0.927
0.142 0.423 0.393
0.251 0.858 0.281
0.421 0.125 0.073
0.577 0.970 0.719
0.652 0.579 0.705
0.875 0.947 0.295
```

The 8 most intense peaks (5 to 70 degrees two-theta), in order of rising 2θ:
Position (°2θ)	d [Å]	Rel. int.
28.22	3.163	67.0
36.45	2.465	92.0
36.59	2.456	63.2
37.71	2.385	71.1
40.59	2.223	43.4
43.55	2.078	54.8
43.92	2.061	71.9
44.53	2.035	100.0

---

# PrNd6Dy
Computed PXRD pattern, Cu Kα (weighted mean of Kα1 and Kα2). Input: a structure optimized by DFT (PBE).
No peak broadening, texture or thermal motion is included.

Cell and atoms:
```
PrNd6Dy
1.0
5.185 0.000 0.000
0.000 5.185 0.000
0.000 0.000 10.370
Pr Nd Dy
1 6 1
Direct
0.000 0.000 0.000
0.000 0.500 0.253
0.000 0.500 0.747
0.500 0.000 0.253
0.500 0.000 0.747
0.500 0.500 0.000
0.500 0.500 0.500
0.000 0.000 0.500
```

The 5 most intense peaks (5 to 70 degrees two-theta), in order of rising 2θ:
Position (°2θ)	d [Å]	Rel. int.
29.85	2.993	100.0
34.60	2.592	50.7
49.74	1.833	36.3
59.10	1.563	43.3
62.01	1.497	12.5

---

# TaAl2P
Computed PXRD pattern, Cu Kα (weighted mean of Kα1 and Kα2). Input: a structure optimized by DFT (PBE).
No peak broadening, texture or thermal motion is included.

Cell and atoms:
```
TaAl2P
1.0
3.544 0.000 0.000
0.000 3.496 0.000
0.000 0.000 10.672
Ta Al P
2 4 2
Direct
0.000 0.000 0.000
0.000 0.500 0.500
0.000 0.000 0.273
0.000 0.500 0.773
0.500 0.000 0.613
0.500 0.500 0.113
0.500 0.000 0.839
0.500 0.500 0.339
```

The 8 most intense peaks (5 to 70 degrees two-theta), in order of rising 2θ:
Position (°2θ)	d [Å]	Rel. int.
16.61	5.336	95.8
25.13	3.544	39.4
26.83	3.322	92.3
30.28	2.952	60.5
36.02	2.494	47.9
37.09	2.424	100.0
42.41	2.132	56.2
44.42	2.039	68.8

---

# Dy6Ho5Th2
Computed PXRD pattern, Cu Kα (weighted mean of Kα1 and Kα2). Input: a structure optimized by DFT (PBE).
No peak broadening, texture or thermal motion is included.

Cell and atoms:
```
Dy6Ho5Th2
1.0
11.493 0.000 0.000
0.000 20.475 0.000
0.000 0.000 3.553
Dy Ho Th
12 10 4
Direct
0.067 0.145 0.000
0.075 0.434 0.000
0.184 0.876 0.500
0.316 0.376 0.500
0.425 0.934 0.000
0.433 0.645 0.000
0.567 0.355 0.000
0.575 0.066 0.000
0.684 0.624 0.500
0.816 0.124 0.500
0.925 0.566 0.000
0.933 0.855 0.000
0.000 0.000 0.500
0.074 0.290 0.500
0.192 0.574 0.500
0.308 0.074 0.500
0.426 0.790 0.500
0.500 0.500 0.500
0.574 0.210 0.500
0.692 0.926 0.500
0.808 0.426 0.500
0.926 0.710 0.500
0.184 0.732 0.000
0.316 0.232 0.000
0.684 0.768 0.000
0.816 0.268 0.000
```

The 8 most intense peaks (5 to 70 degrees two-theta), in order of rising 2θ:
Position (°2θ)	d [Å]	Rel. int.
29.39	3.039	24.2
31.44	2.845	72.5
31.59	2.832	100.0
32.40	2.763	93.1
34.46	2.602	53.7
36.94	2.433	27.4
51.46	1.776	30.8
61.57	1.506	39.4

---

# GdCdGe
Computed PXRD pattern, Cu Kα (weighted mean of Kα1 and Kα2). Input: a structure optimized by DFT (PBE).
No peak broadening, texture or thermal motion is included.

Cell and atoms:
```
GdCdGe
1.0
4.488 0.000 0.000
-2.244 3.886 0.000
0.000 0.000 4.073
Gd Cd Ge
1 1 1
Direct
0.000 0.000 0.000
0.667 0.333 0.548
0.333 0.667 0.386
```

The 8 most intense peaks (5 to 70 degrees two-theta), in order of rising 2θ:
Position (°2θ)	d [Å]	Rel. int.
22.88	3.886	8.3
31.83	2.812	100.0
40.19	2.244	49.0
44.49	2.037	6.9
50.60	1.804	12.8
52.15	1.754	24.6
61.49	1.508	15.6
67.82	1.382	22.0

---

# Al6FeNi
Computed PXRD pattern, Cu Kα (weighted mean of Kα1 and Kα2). Input: a structure optimized by DFT (PBE).
No peak broadening, texture or thermal motion is included.

Cell and atoms:
```
Al6FeNi
1.0
4.043 0.000 0.000
0.000 11.986 0.000
-0.010 0.000 5.417
Al Fe Ni
12 2 2
Direct
0.000 0.000 0.246
0.000 0.000 0.754
0.001 0.328 0.248
0.001 0.672 0.248
0.499 0.172 0.752
0.499 0.828 0.752
0.500 0.500 0.246
0.500 0.500 0.754
0.501 0.172 0.248
0.501 0.828 0.248
0.999 0.328 0.752
0.999 0.672 0.752
0.000 0.500 0.000
0.500 0.000 0.000
0.000 0.500 0.500
0.500 0.000 0.500
```

The 8 most intense peaks (5 to 70 degrees two-theta), in order of rising 2θ:
Position (°2θ)	d [Å]	Rel. int.
14.78	5.993	83.6
23.22	3.831	60.6
29.82	2.996	20.5
36.40	2.468	21.3
40.80	2.212	29.1
44.83	2.022	27.7
45.40	1.998	26.3
46.30	1.961	100.0